Entry 1:
The following is a theoretical X-ray diffraction stick pattern of TaIn3O7. It was derived from a cell relaxed with GGA-PBE, using λ = 1.5418 Å (Cu Kα).
Intensities are scaled so that the largest is 100.

Crystal structure
Lattice parameters (Å, degrees): 6.431 6.431 7.317 90.00 90.00 108.48
Fractional coordinates of all 22 atoms:
Ta (0.010, 0.010, 0.000)
Ta (0.990, 0.990, 0.500)
In (0.001, 0.479, 0.244)
In (0.455, 0.455, 0.500)
In (0.479, 0.001, 0.756)
In (0.521, 0.999, 0.256)
In (0.545, 0.545, 0.000)
In (0.999, 0.521, 0.744)
O (0.048, 0.318, 0.967)
O (0.056, 0.944, 0.750)
O (0.080, 0.331, 0.519)
O (0.318, 0.048, 0.033)
O (0.331, 0.080, 0.481)
O (0.358, 0.642, 0.750)
O (0.373, 0.627, 0.250)
O (0.627, 0.373, 0.750)
O (0.642, 0.358, 0.250)
O (0.669, 0.920, 0.981)
O (0.682, 0.952, 0.533)
O (0.920, 0.669, 0.019)
O (0.944, 0.056, 0.250)
O (0.952, 0.682, 0.467)

Top 10 peaks for 15 to 90 degrees two-theta, by intensity:
2theta  I_rel
29.3  100
29.8  94
49.3  56
34.2  41
58.8  40
34.4  22
57.9  21
49.9  16
58.5  12
48.4  12

Entry 2:
The following is a theoretical X-ray diffraction stick pattern of Zn3In2O6. It was derived from a cell relaxed with GGA-PBE, using λ = 1.5418 Å (Cu Kα).
Intensities are scaled so that the largest is 100.

Crystal structure
Lattice parameters (Å, degrees): 5.896 6.815 14.448 83.31 86.00 89.97
Fractional coordinates of all 44 atoms:
Zn (0.000, 0.000, 0.000)
Zn (0.001, 0.490, 0.002)
Zn (0.065, 0.098, 0.611)
Zn (0.195, 0.794, 0.810)
Zn (0.262, 0.893, 0.428)
Zn (0.266, 0.384, 0.427)
Zn (0.503, 0.245, 0.000)
Zn (0.565, 0.337, 0.611)
Zn (0.699, 0.544, 0.809)
Zn (0.702, 0.044, 0.807)
Zn (0.758, 0.636, 0.429)
Zn (0.766, 0.142, 0.430)
In (0.064, 0.585, 0.619)
In (0.129, 0.691, 0.217)
In (0.133, 0.192, 0.214)
In (0.204, 0.289, 0.808)
In (0.502, 0.748, 0.993)
In (0.565, 0.849, 0.622)
In (0.632, 0.439, 0.217)
In (0.633, 0.944, 0.217)
O (0.030, 0.037, 0.795)
O (0.033, 0.557, 0.782)
O (0.090, 0.627, 0.467)
O (0.091, 0.131, 0.467)
O (0.161, 0.753, 0.961)
O (0.176, 0.257, 0.962)
O (0.218, 0.847, 0.638)
O (0.237, 0.323, 0.646)
O (0.286, 0.424, 0.288)
O (0.287, 0.923, 0.288)
O (0.478, 0.710, 0.141)
O (0.479, 0.211, 0.140)
O (0.533, 0.798, 0.793)
O (0.551, 0.297, 0.795)
O (0.588, 0.378, 0.467)
O (0.590, 0.880, 0.468)
O (0.679, 0.013, 0.961)
O (0.682, 0.498, 0.960)
O (0.715, 0.577, 0.638)
O (0.738, 0.098, 0.640)
O (0.783, 0.674, 0.289)
O (0.789, 0.173, 0.290)
O (0.977, 0.461, 0.141)
O (0.978, 0.960, 0.140)

Top 10 peaks for 15 to 90 degrees two-theta, by intensity:
2theta  I_rel
30.4  100
31.2  87
33.7  85
53.8  84
34.7  76
63.6  53
33.8  43
34.7  37
45.7  33
58.5  29

Entry 3:
The following is a theoretical X-ray diffraction stick pattern of Zn3In2O6. It was derived from a cell relaxed with GGA-PBE, using λ = 1.5418 Å (Cu Kα).
Intensities are scaled so that the largest is 100.

Crystal structure
Lattice parameters (Å, degrees): 14.303 14.303 14.303 13.88 13.88 13.88
Fractional coordinates of all 11 atoms:
Zn (0.000, 0.000, 0.000)
Zn (0.131, 0.131, 0.131)
Zn (0.524, 0.524, 0.524)
In (0.262, 0.262, 0.262)
In (0.399, 0.399, 0.399)
O (0.068, 0.068, 0.068)
O (0.179, 0.179, 0.179)
O (0.348, 0.348, 0.348)
O (0.452, 0.452, 0.452)
O (0.571, 0.571, 0.571)
O (0.954, 0.954, 0.954)

Top 10 peaks for 15 to 90 degrees two-theta, by intensity:
2theta  I_rel
33.4  100
34.4  84
29.9  82
53.0  66
31.6  62
63.0  49
45.7  35
58.7  32
56.7  24
64.1  15

Q: Which formula does entry 3 have?
A: Zn3In2O6